Record 1
Theoretical powder XRD pattern of MgScN for CuKα, from a cell relaxed with GGA-PBE.
Intensities are scaled so that the largest is 100.

Peak list (6 most intense, 10° ≤ 2θ ≤ 90°, by angle)
- hkl 1 1 1, 28.40°, rel. 29
- hkl 2 1 1, 35.08°, rel. 32
- hkl 3 0 0, 35.31°, rel. 43
- hkl 1 2 0, 38.77°, rel. 100
- hkl 0 2 2, 53.11°, rel. 31
- hkl 4 2 0, 61.77°, rel. 35

Structure:
```
data_MgScN
_chemical_formula_sum 'Mg4 Sc4 N4'
_cell_length_a 7.625
_cell_length_b 4.877
_cell_length_c 4.879
_cell_angle_alpha 90.00
_cell_angle_beta 90.00
_cell_angle_gamma 90.00
_space_group_name_H-M_alt 'A e m 2'
_space_group_IT_number 39
loop_
_space_group_symop_operation_xyz
'x,y,z'
'-x,-y,z'
'-x,y+1/2,z'
'x,-y+1/2,z'
'x,y+1/2,z+1/2'
'-x,-y+1/2,z+1/2'
'-x,y,z+1/2'
'x,-y,z+1/2'
loop_
_atom_site_label
_atom_site_fract_x
_atom_site_fract_y
_atom_site_fract_z
_atom_site_occupancy
Mg1 0.000 0.000 0.000 1
Sc1 0.367 0.250 0.246 1
N1 0.360 0.250 0.738 1
```



Record 2
Theoretical powder XRD pattern of Mg3ScN for CuKα, from a cell relaxed with GGA-PBE.
Intensities are scaled so that the largest is 100.

Peak list (6 most intense, 10° ≤ 2θ ≤ 90°, by angle)
- hkl 1 1 0, 28.27°, rel. 26
- hkl 1 1 1, 34.81°, rel. 100
- hkl 2 0 0, 40.41°, rel. 75
- hkl 2 2 0, 58.48°, rel. 46
- hkl 3 1 1, 69.88°, rel. 36
- hkl 2 2 2, 73.48°, rel. 14

Structure:
```
data_Mg3ScN
_chemical_formula_sum 'Mg3 Sc1 N1'
_cell_length_a 4.464
_cell_length_b 4.464
_cell_length_c 4.464
_cell_angle_alpha 90.00
_cell_angle_beta 90.00
_cell_angle_gamma 90.00
_space_group_name_H-M_alt 'P m -3 m'
_space_group_IT_number 221
_space_group_name_Hall '-P 4 2 3'
loop_
_atom_site_label
_atom_site_fract_x
_atom_site_fract_y
_atom_site_fract_z
_atom_site_occupancy
Mg1 0.000 0.000 0.500 1
Sc1 0.500 0.500 0.500 1
N1 0.000 0.000 0.000 1
```



Record 3
Theoretical powder XRD pattern of MgWSe2N for CuKα, from a cell relaxed with GGA-PBE.
Intensities are scaled so that the largest is 100.

Peak list (6 most intense, 10° ≤ 2θ ≤ 90°, by angle)
- hkl 1 0 0, 17.38°, rel. 100
- hkl 0 0 1, 23.28°, rel. 80
- hkl 1 0 1, 29.20°, rel. 74
- hkl 2 0 0, 35.18°, rel. 89
- hkl 2 0 1, 42.62°, rel. 66
- hkl 2 1 1, 46.35°, rel. 43

Structure:
```
data_MgWSe2N
_chemical_formula_sum 'Mg1 W1 Se2 N1'
_cell_length_a 5.101
_cell_length_b 5.101
_cell_length_c 3.821
_cell_angle_alpha 90.00
_cell_angle_beta 90.00
_cell_angle_gamma 90.00
_space_group_name_H-M_alt 'P 4/m m m'
_space_group_IT_number 123
_space_group_name_Hall '-P 4 2'
loop_
_atom_site_label
_atom_site_fract_x
_atom_site_fract_y
_atom_site_fract_z
_atom_site_occupancy
Mg1 0.000 0.000 0.000 1
W1 0.500 0.500 0.500 1
Se1 0.000 0.500 0.500 1
N1 0.500 0.500 0.000 1
```



Record 4
Theoretical powder XRD pattern of Mg5Si2N6 for CuKα, from a cell relaxed with GGA-PBE.
Intensities are scaled so that the largest is 100.

Peak list (6 most intense, 10° ≤ 2θ ≤ 90°, by angle)
- hkl 1 1 -1, 20.32°, rel. 60
- hkl 1 1 3, 30.10°, rel. 69
- hkl 3 1 1, 34.65°, rel. 100
- hkl 0 2 2, 37.05°, rel. 46
- hkl 3 1 -3, 38.90°, rel. 89
- hkl 0 2 3, 40.79°, rel. 73

Structure:
```
data_Mg5Si2N6
_chemical_formula_sum 'Mg20 Si8 N24'
_cell_length_a 9.412
_cell_length_b 5.303
_cell_length_c 12.084
_cell_angle_alpha 90.00
_cell_angle_beta 94.83
_cell_angle_gamma 90.00
_space_group_name_H-M_alt 'C 1 2/c 1'
_space_group_IT_number 15
loop_
_space_group_symop_operation_xyz
'x,y,z'
'-x,-y,-z'
'-x,y,-z+1/2'
'x,-y,z+1/2'
'x+1/2,y+1/2,z'
'-x+1/2,-y+1/2,-z'
'-x+1/2,y+1/2,-z+1/2'
'x+1/2,-y+1/2,z+1/2'
loop_
_atom_site_label
_atom_site_fract_x
_atom_site_fract_y
_atom_site_fract_z
_atom_site_occupancy
Mg1 0.000 0.111 0.250 1
Mg2 0.096 0.256 0.022 1
Mg3 0.146 0.423 0.718 1
Si1 0.214 0.356 0.415 1
N1 0.042 0.437 0.371 1
N2 0.168 0.041 0.677 1
N3 0.231 0.027 0.449 1
```



Record 5
Theoretical powder XRD pattern of Mg2TaSnN4 for CuKα, from a cell relaxed with GGA-PBE.
Intensities are scaled so that the largest is 100.

Peak list (6 most intense, 10° ≤ 2θ ≤ 90°, by angle)
- hkl 0 1 1, 21.98°, rel. 91
- hkl 2 0 0, 25.20°, rel. 42
- hkl 0 0 2, 32.46°, rel. 46
- hkl 2 1 1, 33.68°, rel. 100
- hkl 0 2 1, 34.27°, rel. 42
- hkl 2 3 2, 63.53°, rel. 42

Structure:
```
data_Mg2TaSnN4
_chemical_formula_sum 'Mg4 Ta2 Sn2 N8'
_cell_length_a 7.068
_cell_length_b 5.943
_cell_length_c 5.517
_cell_angle_alpha 90.00
_cell_angle_beta 90.00
_cell_angle_gamma 90.00
_space_group_name_H-M_alt 'P m n 21'
_space_group_IT_number 31
loop_
_space_group_symop_operation_xyz
'x,y,z'
'-x+1/2,-y,z+1/2'
'-x,y,z'
'x+1/2,-y,z+1/2'
loop_
_atom_site_label
_atom_site_fract_x
_atom_site_fract_y
_atom_site_fract_z
_atom_site_occupancy
Mg1 0.250 0.167 0.000 1
Ta1 0.000 0.327 0.506 1
Sn1 0.000 0.671 0.998 1
N1 0.000 0.320 0.863 1
N2 0.000 0.644 0.403 1
N3 0.227 0.170 0.385 1
```



Record 6
Theoretical powder XRD pattern of MgTaSnN for CuKα, from a cell relaxed with GGA-PBE.
Intensities are scaled so that the largest is 100.

Peak list (6 most intense, 10° ≤ 2θ ≤ 90°, by angle)
- hkl 0 0 1, 11.87°, rel. 99
- hkl 1 1 0, 33.45°, rel. 57
- hkl 0 0 3, 36.14°, rel. 35
- hkl 1 1 1, 36.99°, rel. 100
- hkl 2 0 1, 38.98°, rel. 68
- hkl 1 1 -3, 46.78°, rel. 32

Structure:
```
data_MgTaSnN
_chemical_formula_sum 'Mg2 Ta2 Sn2 N2'
_cell_length_a 5.389
_cell_length_b 3.121
_cell_length_c 7.671
_cell_angle_alpha 90.00
_cell_angle_beta 103.57
_cell_angle_gamma 90.00
_space_group_name_H-M_alt 'C 1 m 1'
_space_group_IT_number 8
loop_
_space_group_symop_operation_xyz
'x,y,z'
'x,-y,z'
'x+1/2,y+1/2,z'
'x+1/2,-y+1/2,z'
loop_
_atom_site_label
_atom_site_fract_x
_atom_site_fract_y
_atom_site_fract_z
_atom_site_occupancy
Mg1 0.000 0.000 0.000 1
Ta1 0.055 0.500 0.667 1
Sn1 0.281 0.500 0.348 1
N1 0.282 0.000 0.847 1
```